1.
Gd3Cu4Ge4: simulated PXRD pattern (Cu Kα X-rays), based on DFT lattice parameters and positions (PBE).
Peak positions follow from Bragg's law for the DFT cell and can differ from measured ones.

Structural model:
```
11
Lattice="-2.132 3.347 7.055 2.132 -3.347 7.055 2.132 3.347 -7.055" Properties=species:S:1:pos:R:3 pbc="T T T"
Gd 0.000 0.000 0.000
Gd 2.132 0.000 5.208
Gd 0.000 3.347 1.847
Cu 2.132 1.264 -2.382
Cu 2.132 1.264 2.382
Cu 0.000 2.084 4.673
Cu 0.000 2.084 9.437
Ge 0.000 0.000 3.053
Ge 2.132 2.072 0.000
Ge 0.000 1.276 7.055
Ge 0.000 0.000 11.057
```

Principal peaks in the range 2θ = 10–90°, sorted by position:
d 2.600, 2θ 34.5, intensity 267
d 2.588, 2θ 34.7, intensity 899
d 2.518, 2θ 35.7, intensity 1000
d 2.352, 2θ 38.3, intensity 207
d 2.132, 2θ 42.4, intensity 380
d 2.016, 2θ 45.0, intensity 285



2.
Ho6Ni20P13: simulated PXRD pattern (Cu Kα X-rays), based on DFT lattice parameters and positions (PBE).
Peak positions follow from Bragg's law for the DFT cell and can differ from measured ones.

Structural model:
```
39
Lattice="12.623 0.000 0.000 -6.312 10.932 0.000 0.000 0.000 3.733" Properties=species:S:1:pos:R:3 pbc="T T T"
Ho -4.751 9.371 0.000
Ho 0.571 2.132 0.000
Ho 5.724 1.501 1.866
Ho 4.749 5.225 1.866
Ho 4.180 10.361 0.000
Ho 8.462 4.207 1.866
Ni 0.000 0.000 1.866
Ni -3.558 6.439 0.000
Ni -1.134 3.796 1.866
Ni -1.491 6.391 1.866
Ni -1.891 8.296 0.000
Ni 0.072 5.146 0.000
Ni -2.457 10.016 1.866
Ni 3.415 0.926 0.000
Ni 2.865 2.767 1.866
Ni -0.031 9.028 1.866
Ni 2.514 4.631 0.000
Ni 1.522 6.445 1.866
Ni 1.819 8.422 0.000
Ni 1.044 10.793 0.000
Ni 3.591 8.052 1.866
Ni 6.312 3.644 0.000
Ni 8.795 1.098 1.866
Ni 5.406 7.512 0.000
Ni 7.275 7.068 1.866
Ni 10.114 2.494 0.000
P -2.108 4.727 0.000
P -3.239 7.834 1.866
P 2.128 0.596 1.866
P 1.147 4.211 1.866
P 0.000 7.288 0.000
P -1.163 10.394 0.000
P 4.175 3.078 0.000
P 3.272 6.743 0.000
P 2.092 9.820 1.866
P 7.871 2.076 0.000
P 6.890 5.778 0.000
P 5.764 8.791 1.866
P 11.043 1.545 1.866
```

Principal peaks in the range 2θ = 10–90°, sorted by position:
d 3.032, 2θ 29.5, intensity 119
d 2.410, 2θ 37.3, intensity 190
d 2.354, 2θ 38.2, intensity 1000
d 1.866, 2θ 48.8, intensity 202
d 1.751, 2θ 52.3, intensity 209
d 1.277, 2θ 74.3, intensity 141



3.
LiBi3O6: simulated PXRD pattern (Cu Kα X-rays), based on DFT lattice parameters and positions (PBE).
Peak positions follow from Bragg's law for the DFT cell and can differ from measured ones.

Structural model:
```
20
Lattice="4.886 2.821 3.665 -4.886 2.821 3.665 0.000 -5.642 3.665" Properties=species:S:1:pos:R:3 pbc="T T T"
Li 0.000 0.000 0.000
Li 0.000 0.000 5.497
Bi -2.531 -2.442 5.158
Bi -3.380 0.971 5.837
Bi 0.849 -3.413 5.837
Bi -0.849 3.413 5.158
Bi 3.380 -0.971 5.158
Bi 2.531 2.442 5.837
O -4.276 -1.248 5.952
O -1.058 -4.327 5.043
O -1.997 -0.211 4.364
O -3.218 3.079 5.043
O -0.816 -1.835 6.631
O 1.181 -1.624 4.364
O -1.181 1.624 6.631
O 0.816 1.835 4.364
O 3.218 -3.079 5.952
O 1.997 0.211 6.631
O 1.058 4.327 5.952
O 4.276 1.248 5.043
```

Principal peaks in the range 2θ = 10–90°, sorted by position:
d 4.886, 2θ 18.2, intensity 263
d 3.665, 2θ 24.3, intensity 412
d 3.072, 2θ 29.1, intensity 1000
d 2.932, 2θ 30.5, intensity 271
d 2.765, 2θ 32.4, intensity 443
d 2.085, 2θ 43.4, intensity 276



4.
Sr2EuNbO6: simulated PXRD pattern (Cu Kα X-rays), based on DFT lattice parameters and positions (PBE).
Peak positions follow from Bragg's law for the DFT cell and can differ from measured ones.

Structural model:
```
10
Lattice="0.000 4.263 4.263 4.263 0.000 4.263 4.263 4.263 0.000" Properties=species:S:1:pos:R:3 pbc="T T T"
Sr 2.131 2.131 2.131
Sr 6.394 6.394 6.394
Eu 0.000 0.000 0.000
Nb 4.263 4.263 4.263
O 4.263 4.263 2.257
O 4.263 2.257 4.263
O 6.268 4.263 4.263
O 2.257 4.263 4.263
O 4.263 6.268 4.263
O 4.263 4.263 6.268
```

Principal peaks in the range 2θ = 10–90°, sorted by position:
d 3.014, 2θ 29.6, intensity 1000
d 2.131, 2θ 42.4, intensity 326
d 1.740, 2θ 52.6, intensity 403
d 1.507, 2θ 61.5, intensity 200
d 1.348, 2θ 69.8, intensity 180
d 1.139, 2θ 85.2, intensity 215



5.
Cs2CdI4: simulated PXRD pattern (Cu Kα X-rays), based on DFT lattice parameters and positions (PBE).
Peak positions follow from Bragg's law for the DFT cell and can differ from measured ones.

Structural model:
```
28
Lattice="11.100 0.000 0.000 0.000 8.748 0.000 0.000 0.000 15.405" Properties=species:S:1:pos:R:3 pbc="T T T"
Cs 0.180 2.187 2.582
Cs 1.305 6.561 6.142
Cs 4.245 2.187 13.844
Cs 5.370 6.561 10.284
Cs 5.730 2.187 5.121
Cs 6.855 6.561 1.560
Cs 9.795 2.187 9.263
Cs 10.920 6.561 12.823
Cd 2.495 6.561 1.215
Cd 3.055 2.187 8.917
Cd 8.045 6.561 6.488
Cd 8.605 2.187 14.190
I 0.310 2.187 14.050
I 1.961 2.187 6.308
I 1.996 4.470 10.183
I 1.996 8.652 10.183
I 3.554 0.096 2.480
I 3.554 4.278 2.480
I 3.589 6.561 14.011
I 5.240 6.561 6.348
I 5.860 2.187 9.057
I 7.511 2.187 1.394
I 7.546 4.470 12.925
I 7.546 8.652 12.925
I 9.104 0.096 5.222
I 9.104 4.278 5.222
I 9.139 6.561 9.097
I 10.789 6.561 1.354
```

Principal peaks in the range 2θ = 10–90°, sorted by position:
d 4.374, 2θ 20.3, intensity 334
d 3.851, 2θ 23.1, intensity 479
d 3.598, 2θ 24.7, intensity 1000
d 3.355, 2θ 26.6, intensity 687
d 3.330, 2θ 26.8, intensity 472
d 3.002, 2θ 29.8, intensity 322



6.
Bi2S: simulated PXRD pattern (Cu Kα X-rays), based on DFT lattice parameters and positions (PBE).
Peak positions follow from Bragg's law for the DFT cell and can differ from measured ones.

Structural model:
```
12
Lattice="7.526 0.000 0.000 0.000 11.885 0.000 -1.063 0.000 4.031" Properties=species:S:1:pos:R:3 pbc="T T T"
Bi 0.029 1.813 0.150
Bi -0.503 4.129 2.165
Bi 2.073 1.437 2.833
Bi 2.604 4.506 0.818
Bi 3.859 7.379 3.213
Bi 4.390 10.448 1.198
Bi 6.966 7.755 1.865
Bi 6.434 10.072 3.881
S 2.425 7.135 0.706
S 1.894 10.692 2.721
S 4.569 1.192 1.309
S 4.038 4.750 3.325
```

Principal peaks in the range 2θ = 10–90°, sorted by position:
d 6.206, 2θ 14.3, intensity 549
d 3.088, 2θ 28.9, intensity 947
d 3.023, 2θ 29.5, intensity 1000
d 2.971, 2θ 30.1, intensity 882
d 2.488, 2θ 36.1, intensity 732
d 2.454, 2θ 36.6, intensity 782



7.
HgC2Se2N2: simulated PXRD pattern (Cu Kα X-rays), based on DFT lattice parameters and positions (PBE).
Peak positions follow from Bragg's law for the DFT cell and can differ from measured ones.

Structural model:
```
14
Lattice="6.161 0.000 0.000 0.000 4.524 0.000 -0.565 0.000 12.459" Properties=species:S:1:pos:R:3 pbc="T T T"
Hg 0.000 0.000 0.000
Hg -0.283 2.262 6.229
C 2.394 1.047 7.776
C 2.677 1.215 1.546
C 2.918 3.309 10.912
C 3.201 3.477 4.683
Se 0.603 0.753 8.062
Se 0.885 1.509 1.833
Se 4.710 3.015 10.626
Se 4.993 3.770 4.397
N 2.044 3.317 4.804
N 1.761 3.468 11.034
N 3.834 1.055 1.425
N 3.552 1.207 7.654
```

Principal peaks in the range 2θ = 10–90°, sorted by position:
d 6.229, 2θ 14.2, intensity 439
d 6.154, 2θ 14.4, intensity 1000
d 4.481, 2θ 19.8, intensity 696
d 3.660, 2θ 24.3, intensity 372
d 3.473, 2θ 25.6, intensity 479
d 3.059, 2θ 29.2, intensity 500



8.
YIO9: simulated PXRD pattern (Cu Kα X-rays), based on DFT lattice parameters and positions (PBE).
Peak positions follow from Bragg's law for the DFT cell and can differ from measured ones.

Structural model:
```
44
Lattice="7.346 0.000 0.000 0.000 10.719 0.000 -6.649 0.000 9.031" Properties=species:S:1:pos:R:3 pbc="T T T"
Y 0.047 1.120 1.571
Y -3.278 4.239 6.086
Y 3.975 6.480 2.944
Y 0.651 9.599 7.459
I -4.332 7.436 6.695
I -1.007 8.642 2.179
I 1.705 2.077 6.851
I 5.029 3.283 2.336
O -6.064 0.972 8.389
O -2.740 4.387 3.873
O -1.649 7.760 3.691
O -4.973 8.319 8.206
O -2.808 0.965 5.613
O 0.516 4.395 1.098
O -0.895 2.550 3.265
O -4.219 2.809 7.780
O -4.057 5.856 7.619
O -0.732 10.222 3.104
O 0.479 7.542 1.956
O -2.846 8.536 6.471
O -1.924 0.122 5.969
O 1.400 5.238 1.454
O 1.913 2.622 1.556
O -1.411 2.738 6.071
O -1.249 5.708 6.388
O 2.076 10.371 1.873
O -1.379 0.348 7.158
O 1.946 5.011 2.642
O 2.109 7.981 2.959
O -1.216 8.097 7.475
O -0.703 5.481 7.577
O 2.621 10.597 3.062
O 3.543 2.183 2.559
O 0.218 3.177 7.075
O 1.429 0.497 5.927
O 4.754 4.863 1.411
O 4.917 7.910 1.251
O 1.592 8.169 5.766
O 0.181 6.324 7.932
O 3.505 9.754 3.417
O 5.671 2.400 0.824
O 2.346 2.959 5.339
O 3.437 6.332 5.157
O 6.762 9.747 0.642
```

Principal peaks in the range 2θ = 10–90°, sorted by position:
d 6.047, 2θ 14.6, intensity 708
d 5.916, 2θ 15.0, intensity 988
d 4.515, 2θ 19.7, intensity 1000
d 3.834, 2θ 23.2, intensity 398
d 3.460, 2θ 25.7, intensity 323
d 3.057, 2θ 29.2, intensity 366